The following is a theoretical powder XRD pattern of K4BaV6O18. It was derived from a DFT-relaxed cell (PBE+U, Alexandria), using Cu Kα X-rays.
Kinematic intensities with the Lorentz-polarization factor, no thermal factor.

Largest 10 diffraction maxima, by intensity, 15° ≤ 2θ ≤ 90°:
Position (°2θ)	intensity	hkl
26.82	100	2 1 4
27.22	70	1 3 1
23.48	50	0 2 4
17.36	36	2 0 2
28.36	31	3 1 2
18.70	24	1 1 3
30.18	23	1 2 5
30.29	22	1 1 6
37.53	21	3 2 4
34.30	21	4 1 0

Atomic structure:
a b c (Å): 13.8357 13.8357 19.5707
angles (deg): 90.00 90.00 120.00
Space group R3c (No. 161, hexagonal axes)
Inequivalent atoms, fractional coordinates:
K  0.0000  0.0000  0.0000
K  0.0058  0.4278  0.4978
Ba  0.0000  0.0000  0.2181
V  0.0572  0.2566  0.6401
V  0.1562  0.4254  0.0225
O  0.0064  0.3267  0.3410
O  0.0251  0.1526  0.3990
O  0.0860  0.5291  0.8674
O  0.1391  0.3386  0.5680
O  0.1604  0.0355  0.6162
O  0.2045  0.1011  0.2824